For CaIn2Te4, a crystal structure in Alexandria, relaxed with PBE gives the simulated powder diffraction line list in this record (Cu Ka).

Most intense lines, 2θ from 15° to 90°, low angle first:
two_theta  d [Å]  intensity
15.2  5.815  59.3
27.2  3.280  92.5
30.7  2.914  23.8
30.8  2.901  19.1
32.9  2.719  100.0
42.8  2.113  30.0
44.9  2.019  19.7
47.3  1.923  40.7
50.4  1.812  9.8
60.2  1.538  26.3

Cell and atoms:
Unit cell a=6.841 b=6.841 c=11.655 alpha=90.00 beta=90.00 gamma=116.03
Atoms (fractional coordinates):
Ca  0.000  0.000  0.250
Ca  0.000  0.000  0.750
In  0.268  0.724  0.000
In  0.276  0.732  0.500
In  0.724  0.268  0.500
In  0.732  0.276  0.000
Te  0.000  0.500  0.189
Te  0.000  0.500  0.811
Te  0.152  0.280  0.500
Te  0.280  0.152  0.000
Te  0.500  0.000  0.311
Te  0.500  0.000  0.689
Te  0.720  0.848  0.000
Te  0.848  0.720  0.500